# 1
This entry pairs a crystal structure of Cs2NaSnSe4 with its calculated powder XRD pattern. Radiation: CuKα. Structure: DFT lattice parameters and positions (GGA-PBE).
Peak positions follow from Bragg's law for the DFT cell and can differ from measured ones.

Structural model:
Cell lengths 6.822, 15.425, 23.795 Å; angles 90.00, 90.00, 90.00 degrees
Space group Fddd (No. 70, origin choice 2)
One atom of each set of equivalent atoms:
1 Cs 0.125 0.125 0.309 [16 per cell]
2 Na 0.125 0.125 0.125 [8 per cell]
3 Sn 0.125 0.125 0.625 [8 per cell]
4 Se 0.089 0.276 0.813 [32 per cell]

Main lines, in order of falling intensity (15° ≤ 2θ ≤ 90°):
2θ 24.41, I 100
2θ 28.68, I 47
2θ 34.69, I 33
2θ 44.11, I 23
2θ 18.09, I 21
2θ 25.25, I 19
2θ 41.88, I 18
2θ 45.07, I 18
2θ 30.04, I 15
2θ 54.91, I 12



# 2
This entry pairs a crystal structure of Tm4TlCdHg2 with its calculated powder XRD pattern. Radiation: CuKα. Structure: DFT lattice parameters and positions (GGA-PBE).
Peak positions follow from Bragg's law for the DFT cell and can differ from measured ones.

Structural model:
Cell lengths 5.2166, 5.2166, 25.7981 Å; angles 90.00, 90.00, 120.00 degrees
Space group R-3m (No. 166, hexagonal axes)
One atom of each set of equivalent atoms:
1 Tm 0.0000 0.0000 0.1244 [6 per cell]
2 Tm 0.0000 0.0000 0.3751 [6 per cell]
3 Tl 0.0000 0.0000 0.5000 [3 per cell]
4 Cd 0.0000 0.0000 0.0000 [3 per cell]
5 Hg 0.0000 0.0000 0.2549 [6 per cell]

Main lines, in order of falling intensity (15° ≤ 2θ ≤ 90°):
2θ 34.38, I 100
2θ 34.16, I 100
2θ 61.44, I 37
2θ 49.25, I 36
2θ 61.58, I 19
2θ 61.02, I 18
2θ 82.61, I 16
2θ 82.23, I 16
2θ 72.47, I 12
2θ 71.95, I 11



# 3
This entry pairs a crystal structure of CeAlGaCu with its calculated powder XRD pattern. Radiation: CuKα. Structure: DFT lattice parameters and positions (GGA-PBE).
Peak positions follow from Bragg's law for the DFT cell and can differ from measured ones.

Structural model:
Cell lengths 4.1658, 4.1658, 15.9942 Å; angles 90.00, 90.00, 120.00 degrees
Space group R3m (No. 160, hexagonal axes)
One atom of each set of equivalent atoms:
1 Ce 0.0000 0.0000 0.0000 [3 per cell]
2 Al 0.0000 0.0000 0.2083 [3 per cell]
3 Ga 0.0000 0.0000 0.7862 [3 per cell]
4 Cu 0.0000 0.0000 0.5004 [3 per cell]

Main lines, in order of falling intensity (15° ≤ 2θ ≤ 90°):
2θ 33.45, I 100
2θ 43.45, I 63
2θ 27.12, I 34
2θ 25.31, I 30
2θ 37.58, I 27
2θ 56.03, I 24
2θ 55.92, I 22
2θ 73.36, I 19
2θ 33.62, I 18
2θ 63.64, I 16



# 4
This entry pairs a crystal structure of SrMg2CdNi with its calculated powder XRD pattern. Radiation: CuKα. Structure: DFT lattice parameters and positions (GGA-PBE).
Peak positions follow from Bragg's law for the DFT cell and can differ from measured ones.

Structural model:
Cell lengths 4.947, 4.947, 5.120 Å; angles 90.00, 90.00, 90.00 degrees
Space group P4/mmm (No. 123)
One atom of each set of equivalent atoms:
1 Sr 0.000 0.000 0.000 [1 per cell]
2 Mg 0.000 0.500 0.500 [2 per cell]
3 Cd 0.500 0.500 0.000 [1 per cell]
4 Ni 0.500 0.500 0.500 [1 per cell]

Main lines, in order of falling intensity (15° ≤ 2θ ≤ 90°):
2θ 25.46, I 100
2θ 30.96, I 93
2θ 36.32, I 86
2θ 51.36, I 61
2θ 35.05, I 47
2θ 43.82, I 46
2θ 17.93, I 42
2θ 64.52, I 30
2θ 52.30, I 29
2θ 62.03, I 24